Entry 1:
Calculated powder XRD pattern of RbCaBr3 for λ = 1.5418 Å (Cu Kα), from a cell relaxed with GGA-PBE.

Structure:
```
RbCaBr3
1.0
3.898 2.251 8.550
-3.898 2.251 8.550
0.000 -4.501 8.550
Rb Ca Br
2 2 6
direct
0.000 0.000 0.000
0.499 0.499 0.499
0.172 0.172 0.172
0.829 0.829 0.829
0.055 0.826 0.425
0.178 0.575 0.942
0.425 0.055 0.826
0.575 0.942 0.178
0.826 0.425 0.055
0.942 0.178 0.575
```

Main lines, in order of rising 2θ (2θ from 10° to 80°):
2θ = 10.3°, I = 61
2θ = 13.6°, I = 23
2θ = 25.1°, I = 91
2θ = 27.3°, I = 18
2θ = 31.0°, I = 100
2θ = 37.9°, I = 15
2θ = 39.2°, I = 24
2θ = 40.1°, I = 37
2θ = 48.6°, I = 21
2θ = 51.5°, I = 15

***

Entry 2:
Calculated powder XRD pattern of NdY3Pd4 for λ = 1.5418 Å (Cu Kα), from a cell relaxed with GGA-PBE.

Structure:
```
NdY3Pd4
1.0
2.504 1.446 8.226
-2.504 1.446 8.226
0.000 -2.892 8.226
Nd Y Pd
1 3 4
direct
0.000 0.000 0.000
0.249 0.249 0.249
0.500 0.500 0.500
0.751 0.751 0.751
0.127 0.127 0.127
0.379 0.379 0.379
0.621 0.621 0.621
0.873 0.873 0.873
```

Main lines, in order of rising 2θ (2θ from 10° to 80°):
2θ = 21.7°, I = 2
2θ = 27.4°, I = 2
2θ = 32.7°, I = 1
2θ = 35.7°, I = 100
2θ = 35.9°, I = 100
2θ = 51.5°, I = 34
2θ = 64.1°, I = 17
2θ = 64.4°, I = 52
2θ = 75.7°, I = 10
2θ = 76.0°, I = 11

***

Entry 3:
Calculated powder XRD pattern of Li5Lu for λ = 1.5418 Å (Cu Kα), from a cell relaxed with GGA-PBE.

Structure:
```
Li5Lu
1.0
5.229 0.000 0.000
0.000 15.330 0.000
0.000 0.000 3.273
Li Lu
10 2
direct
0.000 0.000 0.000
0.000 0.153 0.500
0.000 0.316 0.000
0.000 0.684 0.000
0.000 0.847 0.500
0.500 0.184 0.000
0.500 0.347 0.500
0.500 0.500 0.000
0.500 0.653 0.500
0.500 0.816 0.000
0.000 0.500 0.500
0.500 0.000 0.500
```

Main lines, in order of rising 2θ (2θ from 10° to 80°):
2θ = 11.5°, I = 100
2θ = 17.9°, I = 75
2θ = 23.2°, I = 21
2θ = 24.4°, I = 37
2θ = 29.7°, I = 24
2θ = 32.8°, I = 35
2θ = 33.9°, I = 18
2θ = 36.9°, I = 36
2θ = 44.0°, I = 16
2θ = 46.0°, I = 14

***

Entry 4:
Calculated powder XRD pattern of BaYIr2O8 for λ = 1.5418 Å (Cu Kα), from a cell relaxed with GGA-PBE.

Structure:
```
BaYIr2O8
1.0
5.946 0.000 0.000
-2.973 5.150 0.000
0.000 0.000 7.678
Ba Y Ir O
1 1 2 8
direct
0.000 0.000 0.000
0.000 0.000 0.500
0.333 0.667 0.769
0.667 0.333 0.231
0.161 0.322 0.698
0.161 0.839 0.698
0.322 0.161 0.302
0.333 0.667 0.007
0.667 0.333 0.993
0.678 0.839 0.698
0.839 0.161 0.302
0.839 0.678 0.302
```

Main lines, in order of rising 2θ (2θ from 10° to 80°):
2θ = 20.8°, I = 100
2θ = 29.0°, I = 51
2θ = 30.1°, I = 59
2θ = 36.8°, I = 11
2θ = 39.3°, I = 19
2θ = 42.3°, I = 26
2θ = 48.2°, I = 22
2θ = 52.7°, I = 21
2θ = 53.4°, I = 12
2θ = 57.1°, I = 18

***

Entry 5:
Calculated powder XRD pattern of SrBi2B4O10 for λ = 1.5418 Å (Cu Kα), from a cell relaxed with GGA-PBE.

Structure:
```
SrBi2B4O10
1.0
6.852 0.000 0.000
-1.434 6.862 0.000
-3.215 -1.706 9.219
Sr Bi B O
2 4 8 20
direct
0.034 0.350 0.167
0.966 0.650 0.833
0.268 0.860 0.336
0.304 0.481 0.600
0.696 0.519 0.400
0.732 0.140 0.664
0.154 0.892 0.632
0.200 0.198 0.823
0.398 0.705 0.075
0.410 0.248 0.093
0.590 0.752 0.907
0.602 0.295 0.925
0.800 0.802 0.177
0.846 0.108 0.368
0.062 0.317 0.748
0.077 0.686 0.604
0.113 0.985 0.749
0.210 0.669 0.095
0.218 0.205 0.979
0.259 0.992 0.554
0.360 0.605 0.414
0.398 0.727 0.935
0.413 0.277 0.815
0.417 0.274 0.233
0.583 0.726 0.767
0.587 0.723 0.185
0.602 0.273 0.065
0.640 0.395 0.586
0.741 0.008 0.446
0.782 0.795 0.021
0.790 0.331 0.905
0.887 0.015 0.251
0.923 0.314 0.396
0.938 0.683 0.252
```

Main lines, in order of rising 2θ (2θ from 10° to 80°):
2θ = 23.5°, I = 51
2θ = 25.3°, I = 30
2θ = 26.4°, I = 55
2θ = 26.6°, I = 100
2θ = 27.2°, I = 43
2θ = 27.5°, I = 42
2θ = 28.5°, I = 48
2θ = 29.7°, I = 45
2θ = 43.1°, I = 27
2θ = 48.3°, I = 28

***

Entry 6:
Calculated powder XRD pattern of Hg2TeAu for λ = 1.5418 Å (Cu Kα), from a cell relaxed with GGA-PBE.

Structure:
```
Hg2TeAu
1.0
4.934 0.000 0.000
0.000 4.314 0.000
-1.691 0.000 4.913
Hg Te Au
2 1 1
direct
0.232 0.000 0.268
0.768 0.000 0.732
0.500 0.500 0.000
0.000 0.500 0.500
```

Main lines, in order of rising 2θ (2θ from 10° to 80°):
2θ = 30.0°, I = 100
2θ = 30.4°, I = 50
2θ = 41.9°, I = 21
2θ = 42.3°, I = 40
2θ = 44.0°, I = 16
2θ = 44.1°, I = 35
2θ = 52.6°, I = 22
2θ = 52.9°, I = 10
2θ = 62.3°, I = 12
2θ = 72.2°, I = 14

***

Entry 7:
Calculated powder XRD pattern of LaBeHg2 for λ = 1.5418 Å (Cu Kα), from a cell relaxed with GGA-PBE.

Structure:
```
LaBeHg2
1.0
7.618 0.000 0.000
0.000 4.372 0.000
-2.526 0.000 5.745
La Be Hg
2 2 4
direct
0.000 0.000 0.000
0.500 0.500 0.000
0.208 0.000 0.618
0.708 0.500 0.618
0.044 0.500 0.629
0.282 0.500 0.344
0.544 0.000 0.629
0.782 0.000 0.344
```

Main lines, in order of rising 2θ (2θ from 10° to 80°):
2θ = 24.0°, I = 48
2θ = 31.4°, I = 100
2θ = 35.1°, I = 17
2θ = 35.2°, I = 34
2θ = 41.1°, I = 40
2θ = 41.3°, I = 20
2θ = 48.6°, I = 11
2θ = 52.8°, I = 16
2θ = 64.7°, I = 18
2θ = 68.9°, I = 14

***

Entry 8:
Calculated powder XRD pattern of AlAg2AsO4 for λ = 1.5418 Å (Cu Kα), from a cell relaxed with GGA-PBE.

Structure:
```
AlAg2AsO4
1.0
4.697 0.000 0.000
2.298 4.648 0.000
2.306 0.928 5.652
Al Ag As O
1 2 1 4
direct
0.000 0.000 0.000
0.178 0.188 0.416
0.584 0.579 0.283
0.412 0.427 0.761
0.036 0.684 0.912
0.070 0.914 0.273
0.265 0.162 0.761
0.588 0.258 0.007
```

Main lines, in order of rising 2θ (2θ from 10° to 80°):
2θ = 15.7°, I = 33
2θ = 19.4°, I = 34
2θ = 22.2°, I = 41
2θ = 23.2°, I = 30
2θ = 31.7°, I = 28
2θ = 33.2°, I = 100
2θ = 34.5°, I = 34
2θ = 34.6°, I = 58
2θ = 35.0°, I = 56
2θ = 38.3°, I = 30

***

Entry 9:
Calculated powder XRD pattern of Tb6Nd2Zn for λ = 1.5418 Å (Cu Kα), from a cell relaxed with GGA-PBE.

Structure:
```
Tb6Nd2Zn
1.0
9.819 0.000 0.000
0.000 10.276 0.000
0.000 0.000 5.453
Tb Nd Zn
12 4 2
direct
0.015 0.189 0.000
0.135 0.603 0.500
0.191 0.927 0.500
0.309 0.427 0.000
0.365 0.103 0.000
0.485 0.689 0.500
0.515 0.311 0.500
0.635 0.897 0.000
0.691 0.573 0.000
0.809 0.073 0.500
0.865 0.397 0.500
0.985 0.811 0.000
0.188 0.251 0.500
0.312 0.751 0.000
0.688 0.249 0.000
0.812 0.749 0.500
0.000 0.500 0.000
0.500 0.000 0.500
```

Main lines, in order of rising 2θ (2θ from 10° to 80°):
2θ = 30.8°, I = 16
2θ = 31.9°, I = 100
2θ = 32.2°, I = 59
2θ = 32.9°, I = 41
2θ = 46.4°, I = 19
2θ = 56.9°, I = 10
2θ = 57.2°, I = 16
2θ = 58.0°, I = 13
2θ = 58.2°, I = 11
2θ = 67.3°, I = 9

***

Entry 10:
Calculated powder XRD pattern of ZrGeMo3 for λ = 1.5418 Å (Cu Kα), from a cell relaxed with GGA-PBE.

Structure:
```
ZrGeMo3
1.0
4.635 0.000 0.000
0.000 4.635 0.000
0.000 0.000 4.635
Zr Ge Mo
1 1 3
direct
0.000 0.000 0.000
0.500 0.500 0.500
0.000 0.500 0.500
0.500 0.000 0.500
0.500 0.500 0.000
```

Main lines, in order of rising 2θ (2θ from 10° to 80°):
2θ = 19.1°, I = 18
2θ = 27.2°, I = 12
2θ = 33.5°, I = 92
2θ = 38.9°, I = 100
2θ = 43.7°, I = 9
2θ = 48.1°, I = 5
2θ = 56.1°, I = 66
2θ = 59.9°, I = 4
2θ = 67.0°, I = 35
2θ = 70.4°, I = 22